(1)
Starting from a PBE-relaxed structure, the X-ray powder pattern of Ba2YMgBiO6 was simulated for Cu Kα.
Peak positions follow from Bragg's law for the DFT cell and can differ from measured ones.

Most intense lines, 2θ from 15° to 90°, low angle first:
2θ (°)	d/Å	I/Imax
16.52	5.367	22
26.93	3.311	100
27.89	3.199	38
28.60	3.121	35
30.74	2.908	28
40.38	2.234	42
41.99	2.152	23
48.76	1.868	21
49.65	1.836	20
55.51	1.655	14

Structural model:
```
Ba2YMgBiO6
1.0
-3.1208 3.1987 4.9304
3.1208 -3.1987 4.9304
3.1208 3.1987 -4.9304
Ba Y Mg Bi O
2 1 1 1 6
direct
0.1930 0.1930 0.0000
0.8070 0.8070 0.0000
0.5000 0.0000 0.5000
0.5000 0.5000 0.0000
0.0000 0.5000 0.5000
0.2557 0.7557 0.5000
0.2744 0.2646 0.5390
0.2744 0.7355 0.0099
0.7256 0.2646 0.9901
0.7256 0.7355 0.4610
0.7443 0.2443 0.5000
```

(2)
Starting from a PBE-relaxed structure, the X-ray powder pattern of Er2GeRh3 was simulated for Cu Kα.
Peak positions follow from Bragg's law for the DFT cell and can differ from measured ones.

Most intense lines, 2θ from 15° to 90°, low angle first:
2θ (°)	d/Å	I/Imax
31.99	2.798	43
35.58	2.523	46
37.91	2.374	66
39.50	2.281	100
40.23	2.242	36
42.54	2.125	32
59.36	1.557	21
62.10	1.495	26
66.88	1.399	29
75.33	1.262	20

Structural model:
```
Er2GeRh3
1.0
2.7978 1.6153 3.9405
-2.7978 1.6153 3.9405
0.0000 -3.2306 3.9405
Er Ge Rh
2 1 3
direct
0.1292 0.1292 0.1292
0.8708 0.8708 0.8708
0.5000 0.5000 0.5000
0.0000 0.5000 0.5000
0.5000 0.0000 0.5000
0.5000 0.5000 0.0000
```